Theoretical XRD peak list of CoAgHAu2 for a wavelength of 1.5418 Å, from the PBE geometry in Alexandria.

Structural model:
abc: 4.5964 4.5964 3.2355
angles: 90.00 90.00 90.00
Space group P4/mmm (No. 123)
Unique sites:
Co1 0.0000 0.0000 0.0000 (multiplicity 1)
Ag1 0.5000 0.5000 0.0000 (multiplicity 1)
H1 0.0000 0.0000 0.5000 (multiplicity 1)
Au1 0.0000 0.5000 0.5000 (multiplicity 2)

Main lines, in order of rising 2θ (10 to 90 degrees two-theta):
index  two_theta  I_rel
1 1 0  27.4  12
2 0 0  39.3  100
2 2 0  56.6  11
3 1 1  71.1  23
2 0 2  71.3  11
2 2 2  84.5  7

Theoretical XRD peak list of CrAgAu3 for a wavelength of 1.5418 Å, from the PBE geometry in Alexandria.

Structural model:
abc: 4.8283 4.8283 4.8283
angles: 90.00 90.00 90.00
Space group Pm-3m (No. 221)
Unique sites:
Cr1 0.0000 0.0000 0.0000 (multiplicity 1)
Ag1 0.5000 0.5000 0.5000 (multiplicity 1)
Au1 0.0000 0.0000 0.5000 (multiplicity 3)

Main lines, in order of rising 2θ (10 to 90 degrees two-theta):
index  two_theta  I_rel
1 1 1  32.1  100
2 0 0  37.2  69
2 2 0  53.7  48
3 1 1  64.0  43
2 2 2  67.2  16
3 3 1  88.2  19

Theoretical XRD peak list of Cs4AgAu for a wavelength of 1.5418 Å, from the PBE geometry in Alexandria.

Structural model:
abc: 9.2269 5.3055 9.2617
angles: 90.00 109.69 90.00
Space group P2/m (No. 10)
Unique sites:
Cs1 0.2327 0.0000 0.2378 (multiplicity 2)
Cs2 0.2372 0.5000 0.7561 (multiplicity 2)
Ag1 0.0000 0.0000 0.5000 (multiplicity 1)
Au1 0.0000 0.5000 0.0000 (multiplicity 1)

Main lines, in order of rising 2θ (10 to 90 degrees two-theta):
index  two_theta  I_rel
1 0 0  10.2  67
0 1 1  19.6  22
2 0 -2  23.5  50
1 1 1  23.7  100
1 1 -3  33.6  99
2 2 -2  41.6  33

Theoretical XRD peak list of Cs8AgAu4 for a wavelength of 1.5418 Å, from the PBE geometry in Alexandria.

Structural model:
abc: 17.6354 10.3977 12.5478
angles: 90.00 134.01 90.00
Space group C2/m (No. 12)
Unique sites:
Cs1 0.0236 0.0000 0.3250 (multiplicity 4)
Cs2 0.0366 0.5000 0.3340 (multiplicity 4)
Cs3 0.2185 0.2430 0.1680 (multiplicity 8)
Ag1 0.0000 0.0000 0.0000 (multiplicity 2)
Au1 0.0000 0.2558 0.5000 (multiplicity 4)
Au2 0.2418 0.5000 0.9965 (multiplicity 4)

Main lines, in order of rising 2θ (10 to 90 degrees two-theta):
index  two_theta  I_rel
2 0 -1  10.0  77
2 0 1  22.0  52
2 2 -2  22.2  100
4 2 -3  28.4  78
0 2 3  34.5  79
6 2 -2  36.4  35